Structure and calculated X-ray diffraction stick pattern of CeZn11Cu (a GGA-PBE-relaxed structure; Cu Ka).
Kinematic intensities with the Lorentz-polarization factor, no thermal factor.

Atomic structure:
Cell: 5.1860 12.6187 6.8134 Å, 90.00 112.09 90.00°
Space group C2/m (No. 12)
Unique sites:
Ce: 0.0000 0.0000 0.0000 [2 per cell]
Zn: 0.0000 0.0000 0.5000 [2 per cell]
Zn: 0.1071 0.3910 0.2224 [8 per cell]
Zn: 0.1887 0.1755 0.3570 [8 per cell]
Zn: 0.2500 0.2500 0.0000 [4 per cell]
Cu: 0.0000 0.5000 0.5000 [2 per cell]

Top 10 peaks for 2θ = 10–80°, sorted by position:
2theta  intensity  hkl
28.2  13  1 3 0
34.6  16  2 0 -1
34.7  21  1 3 1
34.8  22  1 3 -2
40.2  37  2 2 0
40.3  78  2 2 -2
40.4  100  0 4 2
45.3  27  2 4 -1
45.4  36  2 0 -3
73.5  25  2 6 -4

=====

Structure and calculated X-ray diffraction stick pattern of Ce3Zn2Cu3 (a GGA-PBE-relaxed structure; Cu Ka).
Kinematic intensities with the Lorentz-polarization factor, no thermal factor.

Atomic structure:
Cell: 4.5189 10.0826 13.9567 Å, 90.00 90.00 90.00°
Space group Cmcm (No. 63)
Unique sites:
Ce: 0.0000 0.0881 0.1113 [8 per cell]
Ce: 0.0000 0.2991 0.2500 [4 per cell]
Zn: 0.0000 0.2143 0.5938 [8 per cell]
Cu: 0.0000 0.3860 0.7500 [4 per cell]
Cu: 0.0000 0.3936 0.0469 [8 per cell]

Top 10 peaks for 2θ = 10–80°, sorted by position:
2theta  intensity  hkl
22.5  19  1 1 1
33.6  61  1 1 4
36.2  20  0 4 1
38.6  100  1 3 3
38.7  18  0 0 6
39.9  39  2 0 0
42.4  15  1 3 4
55.0  16  2 4 1
71.6  15  3 3 3
73.7  15  2 4 7

=====

Structure and calculated X-ray diffraction stick pattern of Ce2Zn2Cu3 (a GGA-PBE-relaxed structure; Cu Ka).
Kinematic intensities with the Lorentz-polarization factor, no thermal factor.

Atomic structure:
Cell: 4.0478 18.1414 7.2445 Å, 90.00 90.00 90.00°
Space group Cmcm (No. 63)
Unique sites:
Ce: 0.0000 0.0612 0.2500 [4 per cell]
Ce: 0.0000 0.1520 0.7500 [4 per cell]
Zn: 0.0000 0.3090 0.5597 [8 per cell]
Cu: 0.0000 0.2289 0.2500 [4 per cell]
Cu: 0.0000 0.4412 0.0756 [8 per cell]

Top 10 peaks for 2θ = 10–80°, sorted by position:
2theta  intensity  hkl
32.1  19  0 6 1
33.6  80  1 1 2
35.5  100  1 5 1
36.5  15  1 3 2
39.7  14  0 8 0
42.4  39  0 4 3
44.8  32  2 0 0
55.8  12  1 1 4
63.4  23  2 4 3
74.3  17  1 5 5

=====

Structure and calculated X-ray diffraction stick pattern of CeZn2Cu10 (a GGA-PBE-relaxed structure; Cu Ka).
Kinematic intensities with the Lorentz-polarization factor, no thermal factor.

Atomic structure:
Cell: 4.8953 11.9204 12.4352 Å, 90.00 90.00 90.00°
Space group Fmmm (No. 69)
Unique sites:
Ce: 0.0000 0.0000 0.0000 [4 per cell]
Zn: 0.2500 0.0000 0.2500 [8 per cell]
Cu: 0.0000 0.1120 0.3896 [16 per cell]
Cu: 0.0000 0.1812 0.1749 [16 per cell]
Cu: 0.2500 0.2500 0.0000 [8 per cell]

Top 10 peaks for 2θ = 10–80°, sorted by position:
2theta  intensity  hkl
29.2  16  1 1 3
36.3  61  1 3 3
36.7  23  2 0 0
41.4  67  1 1 5
42.0  84  0 4 4
42.5  100  2 2 2
42.8  67  1 5 1
47.3  30  2 0 4
48.1  35  2 4 0
77.1  28  2 6 6

=====

Structure and calculated X-ray diffraction stick pattern of Ce2Zn6Cu9 (a GGA-PBE-relaxed structure; Cu Ka).
Kinematic intensities with the Lorentz-polarization factor, no thermal factor.

Atomic structure:
Cell: 5.1904 5.1904 12.3124 Å, 90.00 90.00 120.00°
Space group P6/mmm (No. 191)
Unique sites:
Ce: 0.0000 0.0000 0.1772 [2 per cell]
Zn: 0.3333 0.6667 0.1651 [4 per cell]
Zn: 0.3333 0.6667 0.5000 [2 per cell]
Cu: 0.0000 0.5000 0.0000 [3 per cell]
Cu: 0.0000 0.5000 0.3339 [6 per cell]

Top 10 peaks for 2θ = 10–80°, sorted by position:
2theta  intensity  hkl
29.5  21  1 0 3
34.6  25  1 1 0
40.1  31  2 0 0
41.2  100  1 1 3
44.1  28  0 0 6
46.0  27  2 0 3
61.2  16  2 0 6
66.4  23  3 0 3
72.9  18  2 2 0
79.1  16  1 1 9

=====

Structure and calculated X-ray diffraction stick pattern of Ce4ZnCu (a GGA-PBE-relaxed structure; Cu Ka).
Kinematic intensities with the Lorentz-polarization factor, no thermal factor.

Atomic structure:
Cell: 6.2004 16.5710 5.1948 Å, 90.00 91.94 90.00°
Space group C2/c (No. 15)
Unique sites:
Ce: 0.2268 0.1404 0.2637 [8 per cell]
Ce: 0.2324 0.4597 0.2945 [8 per cell]
Zn: 0.0000 0.2049 0.7500 [4 per cell]
Cu: 0.0000 0.2977 0.2500 [4 per cell]

Top 10 peaks for 2θ = 10–80°, sorted by position:
2theta  intensity  hkl
27.5  22  0 4 1
28.8  37  2 0 0
30.8  37  2 2 0
34.6  62  0 0 2
36.9  100  0 6 1
39.8  37  2 4 -1
40.7  48  2 4 1
47.8  26  2 6 1
63.4  18  0 6 3
72.9  17  4 6 1

=====

Which formula does entry 6 have? Ce4ZnCu

=====

Repeat the fourth record exactly.
Structure and calculated X-ray diffraction stick pattern of CeZn2Cu10 (a GGA-PBE-relaxed structure; Cu Ka).
Kinematic intensities with the Lorentz-polarization factor, no thermal factor.

Atomic structure:
Cell: 4.8953 11.9204 12.4352 Å, 90.00 90.00 90.00°
Space group Fmmm (No. 69)
Unique sites:
Ce: 0.0000 0.0000 0.0000 [4 per cell]
Zn: 0.2500 0.0000 0.2500 [8 per cell]
Cu: 0.0000 0.1120 0.3896 [16 per cell]
Cu: 0.0000 0.1812 0.1749 [16 per cell]
Cu: 0.2500 0.2500 0.0000 [8 per cell]

Top 10 peaks for 2θ = 10–80°, sorted by position:
2theta  intensity  hkl
29.2  16  1 1 3
36.3  61  1 3 3
36.7  23  2 0 0
41.4  67  1 1 5
42.0  84  0 4 4
42.5  100  2 2 2
42.8  67  1 5 1
47.3  30  2 0 4
48.1  35  2 4 0
77.1  28  2 6 6

=====

What is the formula in the fourth record? CeZn2Cu10